# 1
Theoretical powder XRD pattern of Gd2Er2CCl5 for a wavelength of 1.5418 Å, from a cell relaxed with PBE.
Lines closer than 0.1° are merged.

Largest 10 diffraction maxima, by intensity, 2θ = 5–70°:
11.57°, rel. 100
33.06°, rel. 90
47.02°, rel. 45
10.70°, rel. 43
32.48°, rel. 37
28.85°, rel. 34
27.87°, rel. 31
32.60°, rel. 27
36.26°, rel. 20
35.46°, rel. 18

a b c (Å): 8.7056 8.7056 7.8642
angles (deg): 103.10 103.10 24.80
Fractional coordinates of all 10 atoms:
Gd: 0.0024 0.0024 0.2886
Gd: 0.9976 0.9976 0.7114
Er: 0.3575 0.3575 0.4183
Er: 0.6425 0.6425 0.5817
C: 0.5000 0.5000 0.5000
Cl: 0.1651 0.1651 0.8332
Cl: 0.1737 0.1737 0.3521
Cl: 0.5000 0.5000 0.0000
Cl: 0.8263 0.8263 0.6479
Cl: 0.8349 0.8349 0.1668

# 2
Theoretical powder XRD pattern of Er4CI3Cl2 for a wavelength of 1.5418 Å, from a cell relaxed with PBE.
Lines closer than 0.1° are merged.

Largest 10 diffraction maxima, by intensity, 2θ = 5–70°:
31.58°, rel. 100
10.76°, rel. 87
9.94°, rel. 49
30.12°, rel. 41
34.53°, rel. 33
43.51°, rel. 23
47.21°, rel. 23
34.30°, rel. 22
44.88°, rel. 22
30.76°, rel. 20

a b c (Å): 9.2654 9.2654 8.3746
angles (deg): 100.61 100.61 23.99
Fractional coordinates of all 10 atoms:
Er: 0.0014 0.0014 0.3102
Er: 0.3669 0.3669 0.4331
Er: 0.6331 0.6331 0.5669
Er: 0.9986 0.9986 0.6898
C: 0.5000 0.5000 0.5000
I: 0.1736 0.1736 0.3134
I: 0.5000 0.5000 0.0000
I: 0.8264 0.8264 0.6866
Cl: 0.1501 0.1501 0.7987
Cl: 0.8499 0.8499 0.2013

# 3
Theoretical powder XRD pattern of Pr2Er2CICl4 for a wavelength of 1.5418 Å, from a cell relaxed with PBE.
Lines closer than 0.1° are merged.

Largest 10 diffraction maxima, by intensity, 2θ = 5–70°:
30.40°, rel. 100
10.14°, rel. 100
10.59°, rel. 61
32.14°, rel. 45
35.01°, rel. 37
31.10°, rel. 37
21.34°, rel. 28
28.47°, rel. 26
45.28°, rel. 24
37.99°, rel. 24

a b c (Å): 8.8066 8.8066 8.9677
angles (deg): 103.14 103.14 25.55
Fractional coordinates of all 10 atoms:
Pr: 0.0008 0.0008 0.3044
Pr: 0.9992 0.9992 0.6956
Er: 0.3580 0.3580 0.4314
Er: 0.6420 0.6420 0.5686
C: 0.5000 0.5000 0.5000
I: 0.5000 0.5000 0.0000
Cl: 0.1716 0.1716 0.7823
Cl: 0.1758 0.1758 0.3765
Cl: 0.8242 0.8242 0.6235
Cl: 0.8284 0.8284 0.2177